Diffraction record for Sr2CaGa3. The X-ray powder pattern is simulated, not measured: it uses a structure optimized by DFT (PBE) and Cu Kα.

Peak list (10 most intense, 10 to 80 degrees two-theta, low angle first)
| d (Å) | I/Imax | (hkl) |
| --- | --- | --- |
| 4.564 | 26 | 0 2 0 |
| 3.456 | 78 | 0 2 1 |
| 2.635 | 100 | 3 3 0 |
| 2.289 | 77 | 3 1 2 |
| 2.095 | 19 | 6 2 1 |
| 1.728 | 32 | 0 4 2 |
| 1.641 | 11 | 3 5 1 |
| 1.520 | 12 | 9 3 0 |
| 1.446 | 22 | 3 5 2 |
| 1.444 | 11 | 9 1 2 |

Atomic structure:
```
data_Sr2CaGa3
_chemical_formula_sum 'Sr8 Ca4 Ga12'
_cell_length_a 15.790
_cell_length_b 9.138
_cell_length_c 5.292
_cell_angle_alpha 90.00
_cell_angle_beta 90.00
_cell_angle_gamma 90.00
_symmetry_space_group_name_H-M 'C m c m'
_symmetry_Int_Tables_number 63
_symmetry_space_group_name_Hall '-C 2c 2'
loop_
_atom_site_label
_atom_site_type_symbol
_atom_site_fract_x
_atom_site_fract_y
_atom_site_fract_z
Sr1 Sr 0.167 0.166 0.250
Ca1 Ca 0.000 0.333 0.750
Ga1 Ga 0.000 0.000 0.000
Ga2 Ga 0.160 0.500 0.000
```